For Cs2PaI4Br2, a crystal structure in Alexandria, relaxed with PBE gives the calculated XRD peak list in this record (Cu Kα X-rays).

Peak list (10 most intense, 10° ≤ 2θ ≤ 90°, sorted by position)
2θ (°)  Rel. int.  h k l
12.54  32.8  0 0 1
17.94  21.5  1 1 1
25.23  30.1  0 0 2
26.63  100.0  2 2 -1
28.03  31.6  2 2 1
29.59  35.3  4 0 1
34.11  20.4  2 2 -2
41.93  17.8  0 4 0
43.82  40.9  6 2 0
47.10  24.5  2 2 3

Cell and atoms:
a b c (Å): 14.225 8.618 7.108
angles (deg): 90.00 96.76 90.00
Space group C2/m (No. 12)
Symmetry-distinct sites (fractional):
Cs 0.163 0.000 0.272 (multiplicity 4)
Pa 0.000 0.500 0.000 (multiplicity 2)
I 0.096 0.247 0.788 (multiplicity 8)
Br 0.154 0.500 0.279 (multiplicity 4)

=====

For TlRh2S3, a crystal structure in Alexandria, relaxed with PBE gives the calculated XRD peak list in this record (Cu Kα X-rays).

Peak list (10 most intense, 10° ≤ 2θ ≤ 90°, sorted by position)
2θ (°)  Rel. int.  h k l
17.95  64.4  0 1 2
25.85  41.0  1 1 0
29.42  47.4  0 1 5
30.06  48.6  1 1 3
30.38  74.5  0 2 1
36.36  100.0  0 2 4
39.56  69.7  2 0 5
47.87  24.8  1 2 5
53.16  53.7  2 2 0
66.13  23.1  4 0 4

Cell and atoms:
a b c (Å): 6.8919 6.8919 17.6307
angles (deg): 90.00 90.00 120.00
Space group R-3m (No. 166, hexagonal axes)
Symmetry-distinct sites (fractional):
Tl 0.0000 0.0000 0.2065 (multiplicity 6)
Rh 0.0000 0.0000 0.0000 (multiplicity 3)
Rh 0.0000 0.5000 0.0000 (multiplicity 9)
S 0.0011 0.5005 0.2613 (multiplicity 18)

=====

For Sm2CoSi3Ni12, a crystal structure in Alexandria, relaxed with PBE gives the calculated XRD peak list in this record (Cu Kα X-rays).

Peak list (10 most intense, 10° ≤ 2θ ≤ 90°, sorted by position)
2θ (°)  Rel. int.  h k l
30.72  33.5  1 0 7
31.39  100.0  1 1 3
36.88  56.0  1 1 6
37.17  82.0  0 2 4
40.70  34.0  1 0 10
44.25  27.6  0 1 11
45.47  29.9  2 0 8
46.19  38.0  1 2 2
57.12  34.7  3 0 6
60.91  35.3  2 2 0

Cell and atoms:
a b c (Å): 6.0836 6.0836 24.4350
angles (deg): 90.00 90.00 120.00
Space group R-3m (No. 166, hexagonal axes)
Symmetry-distinct sites (fractional):
Sm 0.0000 0.0000 0.1521 (multiplicity 6)
Co 0.0000 0.0000 0.5000 (multiplicity 3)
Si 0.0000 0.5000 0.0000 (multiplicity 9)
Ni 0.0553 0.5277 0.0946 (multiplicity 18)
Ni 0.0652 0.5326 0.6220 (multiplicity 18)

=====

For Sm2Ga4GePd3, a crystal structure in Alexandria, relaxed with PBE gives the calculated XRD peak list in this record (Cu Kα X-rays).

Peak list (10 most intense, 10° ≤ 2θ ≤ 90°, sorted by position)
2θ (°)  Rel. int.  h k l
29.62  17.9  1 1 0
32.88  63.8  1 0 3
34.19  100.0  1 1 2
42.38  60.3  2 0 0
45.52  14.6  1 1 4
47.84  31.9  1 0 5
54.66  29.8  2 1 3
61.49  19.6  2 2 0
65.81  24.2  2 1 5
72.27  22.1  3 1 2

Cell and atoms:
a b c (Å): 4.265 4.265 10.619
angles (deg): 90.00 90.00 90.00
Space group P-4m2 (No. 115)
Symmetry-distinct sites (fractional):
Sm 0.000 0.500 0.245 (multiplicity 2)
Ga 0.000 0.000 0.000 (multiplicity 1)
Ga 0.000 0.500 0.640 (multiplicity 2)
Ga 0.500 0.500 0.000 (multiplicity 1)
Ge 0.000 0.000 0.500 (multiplicity 1)
Pd 0.000 0.500 0.870 (multiplicity 2)
Pd 0.500 0.500 0.500 (multiplicity 1)

=====

For HoTmBeAl, a crystal structure in Alexandria, relaxed with PBE gives the calculated XRD peak list in this record (Cu Kα X-rays).

Peak list (10 most intense, 10° ≤ 2θ ≤ 90°, sorted by position)
2θ (°)  Rel. int.  h k l
22.08  0.8  1 1 1
25.55  83.1  2 0 0
36.44  100.0  2 2 0
45.03  24.9  2 2 2
52.49  17.6  4 0 0
59.26  33.2  4 2 0
65.58  36.1  4 2 2
77.42  11.3  4 4 0
83.10  16.1  6 0 0
88.72  16.6  6 2 0

Cell and atoms:
a b c (Å): 6.974 6.974 6.974
angles (deg): 90.00 90.00 90.00
Space group F-43m (No. 216)
Symmetry-distinct sites (fractional):
Ho 0.000 0.000 0.000 (multiplicity 4)
Tm 0.000 0.000 0.500 (multiplicity 4)
Be 0.250 0.250 0.750 (multiplicity 4)
Al 0.250 0.250 0.250 (multiplicity 4)

=====

For RbNaCd2Au2, a crystal structure in Alexandria, relaxed with PBE gives the calculated XRD peak list in this record (Cu Kα X-rays).

Peak list (10 most intense, 10° ≤ 2θ ≤ 90°, sorted by position)
2θ (°)  Rel. int.  h k l
10.71  39.0  0 0 1
20.89  30.0  1 0 0
21.52  22.2  0 0 2
23.53  61.4  1 0 1
30.17  67.9  0 1 2
32.52  35.8  0 0 3
36.61  100.0  1 1 0
38.97  20.0  1 0 3
42.86  23.1  1 1 2
49.76  64.8  1 1 3

Cell and atoms:
a b c (Å): 4.9097 4.9097 8.2592
angles (deg): 90.00 90.00 120.00
Space group P-3m1 (No. 164)
Symmetry-distinct sites (fractional):
Rb 0.0000 0.0000 0.0000 (multiplicity 1)
Na 0.0000 0.0000 0.5000 (multiplicity 1)
Cd 0.3333 0.6667 0.3235 (multiplicity 2)
Au 0.3333 0.6667 0.6884 (multiplicity 2)

=====

For TlCd4Au4, a crystal structure in Alexandria, relaxed with PBE gives the calculated XRD peak list in this record (Cu Kα X-rays).

Peak list (10 most intense, 10° ≤ 2θ ≤ 90°, sorted by position)
2θ (°)  Rel. int.  h k l
18.83  33.4  1 0 1
27.18  16.6  1 2 1
30.92  100.0  1 3 0
34.06  36.2  1 0 2
39.11  32.4  2 3 1
39.49  20.2  1 2 2
44.02  27.4  4 1 1
44.34  58.9  4 2 0
45.53  19.2  1 3 2
48.86  22.4  3 2 2

Cell and atoms:
a b c (Å): 9.146 9.146 5.497
angles (deg): 90.00 90.00 90.00
Space group P4_2/n (No. 86, origin choice 2)
Symmetry-distinct sites (fractional):
Tl 0.250 0.250 0.250 (multiplicity 2)
Cd 0.094 0.649 0.156 (multiplicity 8)
Au 0.040 0.612 0.661 (multiplicity 8)

=====

For BaMg14Sb, a crystal structure in Alexandria, relaxed with PBE gives the calculated XRD peak list in this record (Cu Kα X-rays).

Peak list (10 most intense, 10° ≤ 2θ ≤ 90°, sorted by position)
2θ (°)  Rel. int.  h k l
15.37  50.4  1 0 0
22.82  45.8  1 0 2
31.03  30.9  2 0 0
31.77  18.8  1 1 2
33.90  23.7  0 0 4
35.47  100.0  2 0 2
46.62  19.5  2 0 4
55.20  17.3  2 2 0
61.68  17.9  2 0 6
66.38  18.6  2 2 4

Cell and atoms:
a b c (Å): 6.6556 6.6556 10.5765
angles (deg): 90.00 90.00 120.00
Space group P-6m2 (No. 187)
Symmetry-distinct sites (fractional):
Ba 0.0000 0.0000 0.0000 (multiplicity 1)
Mg 0.0160 0.5080 0.0000 (multiplicity 3)
Mg 0.1718 0.3435 0.2656 (multiplicity 6)
Mg 0.5065 0.0130 0.5000 (multiplicity 3)
Mg 0.6667 0.3333 0.2407 (multiplicity 2)
Sb 0.0000 0.0000 0.5000 (multiplicity 1)

=====

For TbMgNpO6, a crystal structure in Alexandria, relaxed with PBE gives the calculated XRD peak list in this record (Cu Kα X-rays).

Peak list (10 most intense, 10° ≤ 2θ ≤ 90°, sorted by position)
2θ (°)  Rel. int.  h k l
21.08  66.5  1 0 1
26.38  100.0  1 0 2
33.23  44.5  1 1 0
33.50  20.2  1 0 3
39.69  12.6  2 0 1
42.91  27.0  2 0 2
50.35  43.9  1 1 4
52.70  11.7  2 1 1
55.33  26.1  2 1 2
59.38  15.6  3 0 0

Cell and atoms:
a b c (Å): 5.3919 5.3919 9.7925
angles (deg): 90.00 90.00 120.00
Space group P-31c (No. 163)
Symmetry-distinct sites (fractional):
Tb 0.0000 0.0000 0.0000 (multiplicity 2)
Mg 0.3333 0.6667 0.2500 (multiplicity 2)
Np 0.3333 0.6667 0.7500 (multiplicity 2)
O 0.0116 0.3565 0.6378 (multiplicity 12)

=====

For La12Pm7Er, a crystal structure in Alexandria, relaxed with PBE gives the calculated XRD peak list in this record (Cu Kα X-rays).

Peak list (10 most intense, 10° ≤ 2θ ≤ 90°, sorted by position)
2θ (°)  Rel. int.  h k l
28.12  22.5  0 2 4
29.77  28.7  0 1 5
29.98  36.9  0 3 3
30.09  100.0  1 3 1
31.57  44.7  2 1 4
31.72  71.1  4 -1 2
33.06  15.9  2 0 5
37.40  16.2  1 1 6
52.38  27.0  5 2 0
55.53  16.7  1 6 1

Cell and atoms:
a b c (Å): 12.5941 12.5941 15.6104
angles (deg): 90.00 90.00 120.00
Space group R-3 (No. 148, hexagonal axes)
Symmetry-distinct sites (fractional):
La 0.0195 0.5773 0.2224 (multiplicity 18)
La 0.0656 0.4720 0.5777 (multiplicity 18)
Pm 0.0000 0.0000 0.0000 (multiplicity 3)
Pm 0.0569 0.8718 0.3040 (multiplicity 18)
Er 0.0000 0.0000 0.5000 (multiplicity 3)

=====

For Ac4PmIn5, a crystal structure in Alexandria, relaxed with PBE gives the calculated XRD peak list in this record (Cu Kα X-rays).

Peak list (10 most intense, 10° ≤ 2θ ≤ 90°, sorted by position)
2θ (°)  Rel. int.  h k l
22.06  9.0  1 0 0
31.07  100.0  1 0 5
31.39  51.9  1 1 0
44.04  7.9  0 0 10
44.99  19.4  2 0 0
55.08  16.4  1 1 10
55.69  38.7  2 1 5
64.78  10.1  2 0 10
74.28  8.3  3 0 5
74.45  8.8  3 1 0

Cell and atoms:
a b c (Å): 4.030 4.030 20.561
angles (deg): 90.00 90.00 90.00
Space group P4/mmm (No. 123)
Symmetry-distinct sites (fractional):
Ac 0.000 0.000 0.104 (multiplicity 2)
Ac 0.000 0.000 0.309 (multiplicity 2)
Pm 0.000 0.000 0.500 (multiplicity 1)
In 0.500 0.500 0.000 (multiplicity 1)
In 0.500 0.500 0.207 (multiplicity 2)
In 0.500 0.500 0.414 (multiplicity 2)